# Na3Li3Fe2P2C2O14
Calculated powder diffraction line list, Cu Kα. Input: a DFT-relaxed cell (PBE+U, the Materials Project).
Lines closer than 0.1° are merged.

The 10 most intense peaks (2θ = 10–90°), low angle first:
2θ (°)  d (Å)  Rel. int.
10.14  8.727  100
19.73  4.499  26
20.50  4.333  28
26.27  3.393  33
26.85  3.320  82
33.51  2.675  32
33.66  2.662  24
34.32  2.613  25
35.08  2.558  43
55.34  1.660  24

Unit cell a=6.6425 b=8.7369 c=10.2423 alpha=92.47 beta=90.41 gamma=91.30
Space group P1 (No. 1)
One atom of each set of equivalent atoms:
Na: 0.0000 0.0000 0.0000
Na: 0.0014 0.9999 0.4991
Na: 0.4973 0.4816 0.2496
Na: 0.7436 0.6577 0.5065
Na: 0.9980 0.4794 0.2486
Na: 0.9993 0.4843 0.7563
Li: 0.2651 0.8364 0.2498
Li: 0.2763 0.8310 0.7536
Li: 0.4783 0.0175 0.5059
Li: 0.4824 0.0130 0.0057
Li: 0.5256 0.4609 0.7431
Li: 0.7254 0.6603 0.0004
Fe: 0.2515 0.3906 0.5195
Fe: 0.2524 0.3926 0.0123
Fe: 0.7411 0.0866 0.2315
Fe: 0.7421 0.0871 0.7354
P: 0.2499 0.1467 0.2690
P: 0.2562 0.1512 0.7733
P: 0.7402 0.3335 0.9757
P: 0.7434 0.3222 0.4814
C: 0.2592 0.6978 0.4886
C: 0.2603 0.6994 0.9880
C: 0.7345 0.7915 0.7718
C: 0.7451 0.7921 0.2602
O: 0.0559 0.0481 0.2372
O: 0.0562 0.0632 0.7369
O: 0.2444 0.3033 0.2047
O: 0.2496 0.6607 0.6101
O: 0.2534 0.5892 0.3964
O: 0.2536 0.5924 0.8950
O: 0.2543 0.6613 0.1097
O: 0.2688 0.3120 0.7145
O: 0.2727 0.1714 0.4206
O: 0.2731 0.8410 0.9562
O: 0.2743 0.8390 0.4558
O: 0.2763 0.1706 0.9252
O: 0.4254 0.0461 0.2156
O: 0.4258 0.0445 0.7199
O: 0.5654 0.4245 0.5294
O: 0.5662 0.4399 0.0217
O: 0.7234 0.6445 0.7859
O: 0.7271 0.3106 0.8233
O: 0.7297 0.1619 0.5396
O: 0.7298 0.1750 0.0378
O: 0.7323 0.8846 0.8741
O: 0.7351 0.8904 0.3595
O: 0.7399 0.3043 0.3295
O: 0.7434 0.8407 0.1418
O: 0.7482 0.8485 0.6570
O: 0.7558 0.6479 0.2800
O: 0.9377 0.4248 0.0137
O: 0.9390 0.4128 0.5260